# CaTl3Ag3
Calculated powder XRD pattern, CuKα. Input: DFT lattice parameters and positions (PBE).

Most intense lines, 10 to 90 degrees two-theta, by angle:
| 2theta | intensity | (hkl) |
| --- | --- | --- |
| 16.07 | 100 | 1 1 0 |
| 22.80 | 40 | 2 0 0 |
| 25.53 | 27 | 2 1 0 |
| 28.01 | 95 | 2 1 1 |
| 36.42 | 28 | 3 1 0 |
| 40.03 | 78 | 2 2 2 |
| 43.40 | 58 | 3 2 1 |
| 46.56 | 45 | 4 0 0 |
| 67.97 | 29 | 4 4 0 |
| 81.90 | 29 | 6 2 2 |

Cell and atoms:
a = 7.8021 Å, b = 7.8021 Å, c = 7.8021 Å
α = 90.00°, β = 90.00°, γ = 90.00°
Atoms (fractional coordinates):
Ca (0.0000, 0.0000, 0.0000)
Ca (0.5000, 0.5000, 0.5000)
Tl (0.0000, 0.2500, 0.5000)
Tl (0.0000, 0.7500, 0.5000)
Tl (0.2500, 0.5000, 0.0000)
Tl (0.5000, 0.0000, 0.2500)
Tl (0.5000, 0.0000, 0.7500)
Tl (0.7500, 0.5000, 0.0000)
Ag (0.0000, 0.5000, 0.2500)
Ag (0.0000, 0.5000, 0.7500)
Ag (0.2500, 0.0000, 0.5000)
Ag (0.5000, 0.2500, 0.0000)
Ag (0.5000, 0.7500, 0.0000)
Ag (0.7500, 0.0000, 0.5000)